Entry 1:
This entry pairs a crystal structure of Li2Ca2Mg15 with its calculated X-ray powder pattern. Radiation: copper Kα. Structure: a structure optimized by DFT (GGA-PBE).
Peak positions follow from Bragg's law for the DFT cell and can differ from measured ones.

Principal peaks in the range 2θ = 10–80°, by angle:
2θ (°)  I (rel.)
24.46  21
29.81  21
34.56  38
34.71  100
35.17  36
38.93  38
56.13  19
61.91  20

Structure:
```
data_Li2Ca2Mg15
_chemical_formula_sum 'Li2 Ca2 Mg15'
_cell_length_a 7.8720
_cell_length_b 7.8720
_cell_length_c 7.8720
_cell_angle_alpha 82.50
_cell_angle_beta 82.50
_cell_angle_gamma 82.50
_space_group_name_H-M_alt 'P 1'
_space_group_IT_number 1
loop_
_space_group_symop_operation_xyz
'x,y,z'
loop_
_atom_site_label
_atom_site_type_symbol
_atom_site_fract_x
_atom_site_fract_y
_atom_site_fract_z
Li1 Li 0.0959 0.0959 0.0959
Li2 Li 0.9041 0.9041 0.9041
Ca1 Ca 0.3359 0.3359 0.3359
Ca2 Ca 0.6641 0.6641 0.6641
Mg1 Mg 0.0000 0.0000 0.5000
Mg2 Mg 0.0000 0.3039 0.6961
Mg3 Mg 0.0000 0.5000 0.0000
Mg4 Mg 0.0000 0.6961 0.3039
Mg5 Mg 0.1570 0.6535 0.6535
Mg6 Mg 0.3039 0.0000 0.6961
Mg7 Mg 0.3039 0.6961 0.0000
Mg8 Mg 0.3465 0.3465 0.8430
Mg9 Mg 0.3465 0.8430 0.3465
Mg10 Mg 0.5000 0.0000 0.0000
Mg11 Mg 0.6535 0.1570 0.6535
Mg12 Mg 0.6535 0.6535 0.1570
Mg13 Mg 0.6961 0.0000 0.3039
Mg14 Mg 0.6961 0.3039 0.0000
Mg15 Mg 0.8430 0.3465 0.3465
```

Entry 2:
This entry pairs a crystal structure of AcTa2CuO8 with its calculated X-ray powder pattern. Radiation: copper Kα. Structure: a structure optimized by DFT (GGA-PBE).
Peak positions follow from Bragg's law for the DFT cell and can differ from measured ones.

Principal peaks in the range 2θ = 10–80°, by angle:
2θ (°)  I (rel.)
22.41  27
22.89  100
26.63  67
32.59  64
33.01  59
35.39  44
46.44  33
47.38  24

Structure:
```
data_AcTa2CuO8
_chemical_formula_sum 'Ac1 Ta2 Cu1 O8'
_cell_length_a 5.1296
_cell_length_b 5.1296
_cell_length_c 6.4804
_cell_angle_alpha 90.92
_cell_angle_beta 90.92
_cell_angle_gamma 81.47
_space_group_name_H-M_alt 'P 1'
_space_group_IT_number 1
loop_
_space_group_symop_operation_xyz
'x,y,z'
loop_
_atom_site_label
_atom_site_type_symbol
_atom_site_fract_x
_atom_site_fract_y
_atom_site_fract_z
Ac1 Ac 0.0000 0.0000 0.0000
Ta1 Ta 0.4771 0.4771 0.7300
Ta2 Ta 0.5229 0.5229 0.2700
Cu1 Cu 0.0000 0.0000 0.5000
O1 O 0.1985 0.7864 0.2982
O2 O 0.2136 0.8015 0.7018
O3 O 0.3308 0.3308 0.4968
O4 O 0.3377 0.3377 0.9805
O5 O 0.6623 0.6623 0.0195
O6 O 0.6692 0.6692 0.5032
O7 O 0.7864 0.1985 0.2982
O8 O 0.8015 0.2136 0.7018
```

Entry 3:
This entry pairs a crystal structure of Sm5Pt4O with its calculated X-ray powder pattern. Radiation: copper Kα. Structure: a structure optimized by DFT (GGA-PBE).
Peak positions follow from Bragg's law for the DFT cell and can differ from measured ones.

Principal peaks in the range 2θ = 10–80°, by angle:
2θ (°)  I (rel.)
31.37  99
31.47  62
33.73  42
39.36  37
45.02  100
55.91  28
65.03  23
74.62  16

Structure:
```
data_Sm5Pt4O
_chemical_formula_sum 'Sm5 Pt4 O1'
_cell_length_a 6.9803
_cell_length_b 6.9803
_cell_length_c 6.9803
_cell_angle_alpha 99.54
_cell_angle_beta 99.54
_cell_angle_gamma 131.94
_space_group_name_H-M_alt 'P 1'
_space_group_IT_number 1
loop_
_space_group_symop_operation_xyz
'x,y,z'
loop_
_atom_site_label
_atom_site_type_symbol
_atom_site_fract_x
_atom_site_fract_y
_atom_site_fract_z
Sm1 Sm 0.0000 0.0000 0.0000
Sm2 Sm 0.2092 0.3518 0.6248
Sm3 Sm 0.3518 0.7269 0.1425
Sm4 Sm 0.5844 0.2092 0.8575
Sm5 Sm 0.7269 0.5844 0.3752
Pt1 Pt 0.0445 0.6409 0.7498
Pt2 Pt 0.2947 0.0445 0.4036
Pt3 Pt 0.6409 0.8911 0.5964
Pt4 Pt 0.8911 0.2947 0.2502
O1 O 0.4180 0.4180 0.0000
```

Entry 4:
This entry pairs a crystal structure of SbTe2Pd7 with its calculated X-ray powder pattern. Radiation: copper Kα. Structure: a structure optimized by DFT (GGA-PBE).
Peak positions follow from Bragg's law for the DFT cell and can differ from measured ones.

Principal peaks in the range 2θ = 10–80°, by angle:
2θ (°)  I (rel.)
24.47  20
39.68  100
42.08  43
49.28  6
53.54  10
61.03  14
70.34  17
75.29  29

Structure:
```
data_SbTe2Pd7
_chemical_formula_sum 'Sb1 Te2 Pd7'
_cell_length_a 10.7090
_cell_length_b 10.7090
_cell_length_c 10.7090
_cell_angle_alpha 156.87
_cell_angle_beta 156.87
_cell_angle_gamma 32.94
_space_group_name_H-M_alt 'P 1'
_space_group_IT_number 1
loop_
_space_group_symop_operation_xyz
'x,y,z'
loop_
_atom_site_label
_atom_site_type_symbol
_atom_site_fract_x
_atom_site_fract_y
_atom_site_fract_z
Sb1 Sb 0.0000 0.0000 0.0000
Te1 Te 0.3311 0.3311 0.0000
Te2 Te 0.6689 0.6689 0.0000
Pd1 Pd 0.0891 0.5891 0.5000
Pd2 Pd 0.2500 0.7500 0.5000
Pd3 Pd 0.4109 0.9109 0.5000
Pd4 Pd 0.5000 0.5000 0.0000
Pd5 Pd 0.5891 0.0891 0.5000
Pd6 Pd 0.7500 0.2500 0.5000
Pd7 Pd 0.9109 0.4109 0.5000
```

Entry 5:
This entry pairs a crystal structure of HgSb3Br with its calculated X-ray powder pattern. Radiation: copper Kα. Structure: a structure optimized by DFT (GGA-PBE).
Peak positions follow from Bragg's law for the DFT cell and can differ from measured ones.

Principal peaks in the range 2θ = 10–80°, by angle:
2θ (°)  I (rel.)
15.74  72
22.33  30
27.44  29
31.79  100
35.66  41
45.57  73
56.63  26
75.52  33

Structure:
```
data_HgSb3Br
_chemical_formula_sum 'Hg1 Sb3 Br1'
_cell_length_a 5.6303
_cell_length_b 5.6303
_cell_length_c 5.6303
_cell_angle_alpha 90.00
_cell_angle_beta 90.00
_cell_angle_gamma 90.00
_space_group_name_H-M_alt 'P 1'
_space_group_IT_number 1
loop_
_space_group_symop_operation_xyz
'x,y,z'
loop_
_atom_site_label
_atom_site_type_symbol
_atom_site_fract_x
_atom_site_fract_y
_atom_site_fract_z
Hg1 Hg 0.0000 0.0000 0.0000
Sb1 Sb 0.0000 0.0000 0.5000
Sb2 Sb 0.0000 0.5000 0.0000
Sb3 Sb 0.5000 0.0000 0.0000
Br1 Br 0.5000 0.5000 0.5000
```

Entry 6:
This entry pairs a crystal structure of TmCoSi2Rh with its calculated X-ray powder pattern. Radiation: copper Kα. Structure: a structure optimized by DFT (GGA-PBE).
Peak positions follow from Bragg's law for the DFT cell and can differ from measured ones.

Principal peaks in the range 2θ = 10–80°, by angle:
2θ (°)  I (rel.)
24.28  46
35.56  44
36.50  18
37.00  100
45.95  36
59.41  20
66.03  17
79.09  21

Structure:
```
data_TmCoSi2Rh
_chemical_formula_sum 'Tm1 Co1 Si2 Rh1'
_cell_length_a 5.6605
_cell_length_b 5.6605
_cell_length_c 5.6605
_cell_angle_alpha 139.15
_cell_angle_beta 139.15
_cell_angle_gamma 59.14
_space_group_name_H-M_alt 'P 1'
_space_group_IT_number 1
loop_
_space_group_symop_operation_xyz
'x,y,z'
loop_
_atom_site_label
_atom_site_type_symbol
_atom_site_fract_x
_atom_site_fract_y
_atom_site_fract_z
Tm1 Tm 0.0000 0.0000 0.0000
Co1 Co 0.7500 0.2500 0.5000
Si1 Si 0.3770 0.3770 0.0000
Si2 Si 0.6230 0.6230 0.0000
Rh1 Rh 0.2500 0.7500 0.5000
```